# 1
PmHoAs2O8: computed powder diffraction line list (Cu Kα, 1.54184 Å), based on DFT lattice parameters and positions (PBE).
Peak positions follow from Bragg's law for the DFT cell and can differ from measured ones.

Structural model:
Unit cell a=5.088 b=5.088 c=11.472 alpha=90.00 beta=90.00 gamma=90.00
Space group I-4 (No. 82)
Asymmetric unit:
Pm1 0.000 0.000 0.000 (multiplicity 2)
Ho1 0.000 0.500 0.750 (multiplicity 2)
As1 0.000 0.000 0.500 (multiplicity 2)
As2 0.000 0.500 0.250 (multiplicity 2)
O1 0.141 0.251 0.580 (multiplicity 8)
O2 0.151 0.751 0.173 (multiplicity 8)

Most intense lines, 10 to 90 degrees two-theta, in order of rising 2θ:
| (hkl) | d_spacing | two_theta | I (rel.) |
| --- | --- | --- | --- |
| 1 0 1 | 4.651 | 19.08 | 11.8 |
| 1 1 2 | 3.048 | 29.30 | 100.0 |
| 0 0 4 | 2.868 | 31.19 | 16.2 |
| 2 0 0 | 2.544 | 35.28 | 20.0 |
| 2 0 4 | 1.903 | 47.79 | 28.5 |
| 2 2 0 | 1.799 | 50.75 | 11.9 |
| 1 1 6 | 1.688 | 54.34 | 17.2 |
| 1 3 2 | 1.549 | 59.68 | 27.4 |
| 2 2 4 | 1.524 | 60.78 | 11.7 |
| 3 1 6 | 1.231 | 77.54 | 12.2 |

=====

# 2
HoUAsO2: computed powder diffraction line list (Cu Kα, 1.54184 Å), based on DFT lattice parameters and positions (PBE).
Peak positions follow from Bragg's law for the DFT cell and can differ from measured ones.

Structural model:
Unit cell a=3.761 b=3.761 c=12.141 alpha=90.00 beta=90.00 gamma=90.00
Space group I4mm (No. 107)
Asymmetric unit:
Ho1 0.000 0.000 0.000 (multiplicity 2)
U1 0.000 0.000 0.707 (multiplicity 2)
As1 0.000 0.000 0.349 (multiplicity 2)
O1 0.000 0.500 0.103 (multiplicity 4)

Most intense lines, 10 to 90 degrees two-theta, in order of rising 2θ:
| (hkl) | d_spacing | two_theta | I (rel.) |
| --- | --- | --- | --- |
| 1 0 1 | 3.592 | 24.78 | 27.7 |
| 0 0 4 | 3.035 | 29.43 | 8.3 |
| 1 0 3 | 2.755 | 32.50 | 100.0 |
| 1 1 0 | 2.659 | 33.70 | 44.3 |
| 1 1 4 | 2.000 | 45.34 | 17.6 |
| 2 0 0 | 1.880 | 48.41 | 21.3 |
| 1 1 6 | 1.610 | 57.21 | 15.7 |
| 1 0 7 | 1.575 | 58.61 | 9.6 |
| 2 1 3 | 1.553 | 59.52 | 36.2 |
| 2 1 7 | 1.207 | 79.36 | 8.4 |

=====

# 3
YHoAs2O8: computed powder diffraction line list (Cu Kα, 1.54184 Å), based on DFT lattice parameters and positions (PBE).
Peak positions follow from Bragg's law for the DFT cell and can differ from measured ones.

Structural model:
Unit cell a=5.043 b=5.043 c=11.326 alpha=90.00 beta=90.00 gamma=90.00
Space group I-4 (No. 82)
Asymmetric unit:
Y1 0.000 0.000 0.000 (multiplicity 2)
Ho1 0.000 0.500 0.750 (multiplicity 2)
As1 0.000 0.000 0.500 (multiplicity 2)
As2 0.000 0.500 0.250 (multiplicity 2)
O1 0.148 0.253 0.580 (multiplicity 8)
O2 0.151 0.753 0.171 (multiplicity 8)

Most intense lines, 10 to 90 degrees two-theta, in order of rising 2θ:
| (hkl) | d_spacing | two_theta | I (rel.) |
| --- | --- | --- | --- |
| 1 0 1 | 4.607 | 19.27 | 9.7 |
| 1 1 2 | 3.018 | 29.60 | 100.0 |
| 0 0 4 | 2.831 | 31.60 | 15.4 |
| 2 0 0 | 2.521 | 35.61 | 18.5 |
| 2 0 4 | 1.883 | 48.33 | 28.9 |
| 2 2 0 | 1.783 | 51.24 | 12.4 |
| 1 1 6 | 1.668 | 55.05 | 17.0 |
| 1 3 2 | 1.535 | 60.29 | 27.0 |
| 2 2 4 | 1.509 | 61.46 | 11.3 |
| 3 1 6 | 1.218 | 78.52 | 11.9 |

=====

# 4
PmHoAsP: computed powder diffraction line list (Cu Kα, 1.54184 Å), based on DFT lattice parameters and positions (PBE).
Peak positions follow from Bragg's law for the DFT cell and can differ from measured ones.

Structural model:
Unit cell a=4.123 b=4.123 c=5.813 alpha=90.00 beta=90.00 gamma=90.00
Space group P4/mmm (No. 123)
Asymmetric unit:
Pm1 0.000 0.000 0.000 (multiplicity 1)
Ho1 0.500 0.500 0.500 (multiplicity 1)
As1 0.500 0.500 0.000 (multiplicity 1)
P1 0.000 0.000 0.500 (multiplicity 1)

Most intense lines, 10 to 90 degrees two-theta, in order of rising 2θ:
| (hkl) | d_spacing | two_theta | I (rel.) |
| --- | --- | --- | --- |
| 1 0 1 | 3.363 | 26.50 | 44.1 |
| 1 1 0 | 2.912 | 30.70 | 100.0 |
| 2 0 0 | 2.059 | 43.97 | 74.1 |
| 2 1 1 | 1.758 | 52.03 | 14.5 |
| 2 0 2 | 1.681 | 54.58 | 26.0 |
| 2 2 0 | 1.458 | 63.86 | 8.1 |
| 3 1 0 | 1.303 | 72.52 | 22.3 |
| 1 1 4 | 1.301 | 72.71 | 11.1 |
| 3 1 2 | 1.190 | 80.79 | 16.7 |
| 2 0 4 | 1.188 | 80.94 | 8.3 |

=====

What is the formula in the fourth record? PmHoAsP